Co12Ge4C: theoretical X-ray diffraction stick pattern (λ = 1.5418 Å (Cu Kα)), based on a cell relaxed with GGA-PBE.

Cell and atoms:
a = 3.656 Å, b = 3.656 Å, c = 14.165 Å
α = 90.00°, β = 90.00°, γ = 90.00°
Atoms (fractional coordinates):
1 Co 0.000 0.000 0.122
2 Co 0.000 0.000 0.369
3 Co 0.000 0.000 0.631
4 Co 0.000 0.000 0.878
5 Co 0.000 0.500 0.000
6 Co 0.000 0.500 0.244
7 Co 0.000 0.500 0.500
8 Co 0.000 0.500 0.756
9 Co 0.500 0.000 0.000
10 Co 0.500 0.000 0.244
11 Co 0.500 0.000 0.500
12 Co 0.500 0.000 0.756
13 Ge 0.500 0.500 0.123
14 Ge 0.500 0.500 0.362
15 Ge 0.500 0.500 0.638
16 Ge 0.500 0.500 0.877
17 C 0.000 0.000 0.500

The 10 most intense peaks (15 to 90 degrees two-theta), in order of falling intensity:
hkl 1 1 4, 43.33 deg, I 100; hkl 2 0 0, 49.88 deg, I 34; hkl 3 1 4, 89.07 deg, I 23; hkl 2 0 8, 74.62 deg, I 17; hkl 0 0 8, 51.62 deg, I 14; hkl 2 2 0, 73.22 deg, I 10; hkl 1 1 5, 47.62 deg, I 1; hkl 2 0 9, 80.53 deg, I 1; hkl 1 1 11, 83.95 deg, I 1; hkl 1 0 4, 35.28 deg, I 1